For Pm7Ho2Sc2, a structure optimized by DFT (GGA-PBE) gives the calculated powder diffractogram in this record (copper Kα).

Main lines, by angle (10 to 90 degrees two-theta):
| d_spacing | Rel. int. |
| --- | --- |
| 3.380 | 38 |
| 2.928 | 34 |
| 2.875 | 54 |
| 2.823 | 100 |
| 2.723 | 17 |
| 2.646 | 28 |
| 2.599 | 29 |
| 1.650 | 18 |

Crystal structure
a b c (Å): 7.9361 7.9361 6.0817
angles (deg): 104.62 104.62 92.89
Atoms (fractional coordinates):
Pm (0.0000, 0.0000, 0.0000)
Pm (0.0582, 0.5810, 0.8090)
Pm (0.4190, 0.9418, 0.1910)
Pm (0.4218, 0.4218, 0.2041)
Pm (0.5782, 0.5782, 0.7959)
Pm (0.5810, 0.0582, 0.8090)
Pm (0.9418, 0.4190, 0.1910)
Ho (0.2129, 0.2129, 0.5821)
Ho (0.7871, 0.7871, 0.4179)
Sc (0.2232, 0.7768, 0.5000)
Sc (0.7768, 0.2232, 0.5000)

***

For Pm2Ho5Sc5, a structure optimized by DFT (GGA-PBE) gives the calculated powder diffractogram in this record (copper Kα).

Main lines, by angle (10 to 90 degrees two-theta):
| d_spacing | Rel. int. |
| --- | --- |
| 4.551 | 9 |
| 2.805 | 100 |
| 2.429 | 50 |
| 1.718 | 34 |
| 1.466 | 13 |
| 1.464 | 27 |
| 1.402 | 12 |
| 1.115 | 11 |

Crystal structure
a b c (Å): 7.6900 7.6900 10.8580
angles (deg): 115.13 115.13 36.79
Atoms (fractional coordinates):
Pm (0.0833, 0.0833, 0.2453)
Pm (0.9167, 0.9167, 0.7547)
Ho (0.3352, 0.3352, 0.5001)
Ho (0.4116, 0.4116, 0.2476)
Ho (0.5000, 0.5000, 0.0000)
Ho (0.5884, 0.5884, 0.7524)
Ho (0.6648, 0.6648, 0.4999)
Sc (0.0000, 0.0000, 0.5000)
Sc (0.1714, 0.1714, 0.0014)
Sc (0.2488, 0.2488, 0.7533)
Sc (0.7512, 0.7512, 0.2467)
Sc (0.8286, 0.8286, 0.9986)

***

For Pm2Ho5Sc2, a structure optimized by DFT (GGA-PBE) gives the calculated powder diffractogram in this record (copper Kα).

Main lines, by angle (10 to 90 degrees two-theta):
| d_spacing | Rel. int. |
| --- | --- |
| 3.217 | 18 |
| 2.831 | 96 |
| 2.797 | 54 |
| 2.756 | 53 |
| 2.735 | 100 |
| 2.015 | 16 |
| 1.964 | 16 |
| 1.568 | 17 |

Crystal structure
a b c (Å): 5.6728 6.3471 8.7719
angles (deg): 83.25 71.34 66.32
Atoms (fractional coordinates):
Pm (0.2291, 0.2976, 0.3519)
Pm (0.7709, 0.7024, 0.6481)
Ho (0.0982, 0.1366, 0.7534)
Ho (0.2480, 0.5791, 0.8785)
Ho (0.5000, 0.0000, 0.0000)
Ho (0.7520, 0.4209, 0.1215)
Ho (0.9018, 0.8634, 0.2466)
Sc (0.3353, 0.7517, 0.4504)
Sc (0.6647, 0.2483, 0.5496)